Entry 1:
Structure and computed powder XRD pattern of Ca3Zn3Cu2 (a PBE-relaxed structure; Cu Ka).
No peak broadening, texture or thermal motion is included.

Main lines, sorted by position (2θ from 10° to 90°):
2θ (°)  Rel. int.
19.18  64.4
23.26  49.5
32.41  62.0
34.89  53.8
36.13  97.4
37.58  89.8
37.79  100.0
40.95  87.6
45.56  49.1
47.16  39.6

Unit cell a=7.9085 b=15.4394 c=5.7084 alpha=90.00 beta=90.00 gamma=90.00
Space group Pnma (No. 62)
Asymmetric unit:
Ca1 0.0386 0.1070 0.1226 (multiplicity 8)
Ca2 0.1777 0.2500 0.6238 (multiplicity 4)
Zn1 0.1689 0.7500 0.6067 (multiplicity 4)
Zn2 0.1789 0.0373 0.6074 (multiplicity 8)
Cu1 0.1142 0.6050 0.3854 (multiplicity 8)



Entry 2:
Structure and computed powder XRD pattern of Ca2Zn5Cu4 (a PBE-relaxed structure; Cu Ka).
No peak broadening, texture or thermal motion is included.

Main lines, sorted by position (2θ from 10° to 90°):
2θ (°)  Rel. int.
14.93  100.0
20.30  96.2
35.86  67.5
39.02  84.8
41.03  84.3
41.27  75.3
41.43  66.1
44.74  84.3
46.51  68.5
47.36  57.3

Unit cell a=12.1154 b=5.2468 c=7.9497 alpha=90.00 beta=126.70 gamma=90.00
Space group C2/m (No. 12)
Asymmetric unit:
Ca1 0.2200 0.0000 0.2809 (multiplicity 4)
Zn1 0.0000 0.5000 0.0000 (multiplicity 2)
Zn2 0.0387 0.2513 0.7501 (multiplicity 8)
Cu1 0.1261 0.0000 0.5671 (multiplicity 4)
Cu2 0.2297 0.5000 0.0535 (multiplicity 4)



Entry 3:
Structure and computed powder XRD pattern of Ca3Zn2Cu6 (a PBE-relaxed structure; Cu Ka).
No peak broadening, texture or thermal motion is included.

Main lines, sorted by position (2θ from 10° to 90°):
2θ (°)  Rel. int.
13.54  35.3
19.20  13.2
36.35  32.2
38.96  14.8
41.43  100.0
43.78  28.5
48.21  17.6
61.85  13.0
67.15  16.6
75.56  24.0

Unit cell a=9.2473 b=9.2473 c=9.2473 alpha=90.00 beta=90.00 gamma=90.00
Space group Im-3m (No. 229)
Asymmetric unit:
Ca1 0.0000 0.0000 0.2878 (multiplicity 12)
Zn1 0.2500 0.2500 0.2500 (multiplicity 8)
Cu1 0.0000 0.3312 0.3312 (multiplicity 24)



Entry 4:
Structure and computed powder XRD pattern of CaDy8 (a PBE-relaxed structure; Cu Ka).
No peak broadening, texture or thermal motion is included.

Main lines, sorted by position (2θ from 10° to 90°):
2θ (°)  Rel. int.
30.68  100.0
35.55  34.1
35.62  17.0
51.17  29.8
60.81  17.8
60.91  17.8
60.99  7.1
63.84  6.2
83.47  8.8
86.18  6.8

Unit cell a=6.1831 b=6.1838 c=8.7340 alpha=89.80 beta=89.96 gamma=60.01
Space group P-1 (No. 2)
Asymmetric unit:
Ca1 0.0000 0.0000 0.0000 (multiplicity 1)
Dy1 0.0004 0.3371 0.6626 (multiplicity 2)
Dy2 0.3335 0.3335 0.0000 (multiplicity 2)
Dy3 0.3376 0.0011 0.3376 (multiplicity 2)
Dy4 0.3381 0.6611 0.6624 (multiplicity 2)